[1]
Starting from a DFT-relaxed cell (GGA-PBE, the Materials Project), the powder XRD pattern of UPCl7O was calculated for a wavelength of 1.5418 Å.
Intensities are scaled so that the largest is 100.

Peak list (8 most intense, 2θ = 10–90°, by angle)
- 2θ = 11.34°, I 100.0
- 2θ = 11.64°, I 70.8
- 2θ = 15.37°, I 24.9
- 2θ = 15.59°, I 25.2
- 2θ = 19.51°, I 23.0
- 2θ = 20.12°, I 31.8
- 2θ = 20.77°, I 22.9
- 2θ = 24.99°, I 43.7

Structure:
a = 9.098 Å, b = 8.555 Å, c = 17.656 Å
α = 90.00°, β = 120.52°, γ = 90.00°
Sites, in units of the cell vectors:
U 0.090 0.216 0.277
U 0.090 0.284 0.777
U 0.910 0.716 0.223
U 0.910 0.784 0.723
P 0.427 0.742 0.116
P 0.427 0.758 0.616
P 0.573 0.242 0.384
P 0.573 0.258 0.884
Cl 0.070 0.245 0.914
Cl 0.070 0.255 0.414
Cl 0.127 0.182 0.144
Cl 0.127 0.318 0.644
Cl 0.192 0.593 0.826
Cl 0.192 0.907 0.326
Cl 0.199 0.525 0.296
Cl 0.199 0.975 0.796
Cl 0.282 0.554 0.066
Cl 0.282 0.946 0.566
Cl 0.312 0.589 0.529
Cl 0.312 0.911 0.029
Cl 0.415 0.698 0.721
Cl 0.415 0.802 0.221
Cl 0.585 0.198 0.779
Cl 0.585 0.302 0.279
Cl 0.688 0.089 0.971
Cl 0.688 0.411 0.471
Cl 0.718 0.054 0.434
Cl 0.718 0.446 0.934
Cl 0.801 0.025 0.204
Cl 0.801 0.475 0.704
Cl 0.808 0.093 0.674
Cl 0.808 0.407 0.174
Cl 0.873 0.682 0.356
Cl 0.873 0.818 0.856
Cl 0.930 0.745 0.586
Cl 0.930 0.755 0.086
O 0.395 0.214 0.364
O 0.395 0.286 0.864
O 0.605 0.714 0.136
O 0.605 0.786 0.636

---

[2]
Starting from a DFT-relaxed cell (GGA-PBE, the Materials Project), the powder XRD pattern of SrC7N10 was calculated for a wavelength of 1.5418 Å.
Intensities are scaled so that the largest is 100.

Peak list (8 most intense, 2θ = 10–90°, by angle)
- 2θ = 31.30°, I 47.0
- 2θ = 33.54°, I 62.4
- 2θ = 34.50°, I 79.8
- 2θ = 35.78°, I 100.0
- 2θ = 37.19°, I 52.3
- 2θ = 37.92°, I 63.3
- 2θ = 44.46°, I 56.6
- 2θ = 47.27°, I 44.8

Structure:
a = 5.865 Å, b = 5.685 Å, c = 8.167 Å
α = 90.00°, β = 106.41°, γ = 90.00°
Sites, in units of the cell vectors:
Sr 0.000 0.121 0.000
Sr 0.000 0.879 0.500
C 0.150 0.389 0.401
C 0.150 0.611 0.901
C 0.336 0.377 0.714
C 0.336 0.623 0.214
C 0.397 0.030 0.348
C 0.397 0.970 0.848
C 0.523 0.376 0.014
C 0.523 0.624 0.514
C 0.579 0.025 0.656
C 0.579 0.975 0.156
C 0.702 0.367 0.317
C 0.702 0.633 0.817
C 0.880 0.368 0.637
C 0.880 0.632 0.137
N 0.119 0.408 0.768
N 0.119 0.592 0.268
N 0.196 0.170 0.338
N 0.196 0.830 0.838
N 0.323 0.497 0.554
N 0.323 0.503 0.054
N 0.358 0.125 0.695
N 0.358 0.875 0.195
N 0.481 0.117 0.003
N 0.481 0.883 0.503
N 0.536 0.460 0.849
N 0.536 0.540 0.349
N 0.615 0.126 0.308
N 0.615 0.874 0.808
N 0.743 0.412 0.149
N 0.743 0.588 0.649
N 0.789 0.154 0.665
N 0.789 0.846 0.165
N 0.922 0.403 0.452
N 0.922 0.597 0.952

---

[3]
Starting from a DFT-relaxed cell (GGA-PBE, the Materials Project), the powder XRD pattern of Ca4CrN4 was calculated for a wavelength of 1.5418 Å.
Intensities are scaled so that the largest is 100.

Peak list (8 most intense, 2θ = 10–90°, by angle)
- 2θ = 32.00°, I 39.2
- 2θ = 32.13°, I 29.4
- 2θ = 32.22°, I 20.3
- 2θ = 32.57°, I 52.8
- 2θ = 32.71°, I 42.0
- 2θ = 36.41°, I 100.0
- 2θ = 39.77°, I 36.8
- 2θ = 52.20°, I 16.8

Structure:
a = 5.905 Å, b = 6.029 Å, c = 8.783 Å
α = 72.21°, β = 79.64°, γ = 68.41°
Sites, in units of the cell vectors:
Ca 0.214 0.431 0.329
Ca 0.227 0.960 0.114
Ca 0.267 0.783 0.525
Ca 0.268 0.516 0.928
Ca 0.732 0.484 0.072
Ca 0.733 0.217 0.475
Ca 0.773 0.040 0.886
Ca 0.786 0.569 0.671
Cr 0.284 0.152 0.746
Cr 0.716 0.848 0.254
N 0.035 0.289 0.888
N 0.108 0.176 0.584
N 0.473 0.842 0.850
N 0.474 0.361 0.697
N 0.526 0.639 0.303
N 0.527 0.158 0.150
N 0.892 0.824 0.416
N 0.965 0.711 0.112

---

[4]
Starting from a DFT-relaxed cell (GGA-PBE, the Materials Project), the powder XRD pattern of ZrTi was calculated for a wavelength of 1.5418 Å.
Intensities are scaled so that the largest is 100.

Peak list (8 most intense, 2θ = 10–90°, by angle)
- 2θ = 21.16°, I 10.1
- 2θ = 35.92°, I 100.0
- 2θ = 41.02°, I 34.0
- 2θ = 43.10°, I 14.7
- 2θ = 59.40°, I 10.8
- 2θ = 61.01°, I 19.8
- 2θ = 71.41°, I 24.1
- 2θ = 74.33°, I 10.7

Structure:
a = 3.112 Å, b = 3.112 Å, c = 4.198 Å
α = 90.00°, β = 90.00°, γ = 90.00°
Sites, in units of the cell vectors:
Zr 0.000 0.000 0.000
Ti 0.500 0.500 0.500